Theoretical X-ray powder pattern
Compound: Cs2CeRhS4
Radiation: λ = 1.5418 Å (Cu Kα)
Structure: a DFT-relaxed cell (PBE, Alexandria)
Intensities are scaled so that the largest is 1000.

Structural model:
```
data_Cs2CeRhS4
_chemical_formula_sum 'Cs16 Ce8 Rh8 S32'
_cell_length_a 6.4432
_cell_length_b 15.0200
_cell_length_c 25.3423
_cell_angle_alpha 90.00
_cell_angle_beta 90.00
_cell_angle_gamma 90.00
_space_group_name_H-M_alt 'F d d d'
_space_group_IT_number 70
loop_
_space_group_symop_operation_xyz
'x,y,z'
'-x,-y,-z'
'-x+1/4,-y+1/4,z'
'x+1/4,y+1/4,-z'
'x,-y+1/4,-z+1/4'
'-x,y+1/4,z+1/4'
'-x+1/4,y,-z+1/4'
'x+1/4,-y,z+1/4'
'x,y+1/2,z+1/2'
'-x,-y+1/2,-z+1/2'
'-x+1/4,-y+3/4,z+1/2'
'x+1/4,y+3/4,-z+1/2'
'x,-y+3/4,-z+3/4'
'-x,y+3/4,z+3/4'
'-x+1/4,y+1/2,-z+3/4'
'x+1/4,-y+1/2,z+3/4'
'x+1/2,y,z+1/2'
'-x+1/2,-y,-z+1/2'
'-x+3/4,-y+1/4,z+1/2'
'x+3/4,y+1/4,-z+1/2'
'x+1/2,-y+1/4,-z+3/4'
'-x+1/2,y+1/4,z+3/4'
'-x+3/4,y,-z+3/4'
'x+3/4,-y,z+3/4'
'x+1/2,y+1/2,z'
'-x+1/2,-y+1/2,-z'
'-x+3/4,-y+3/4,z'
'x+3/4,y+3/4,-z'
'x+1/2,-y+3/4,-z+1/4'
'-x+1/2,y+3/4,z+1/4'
'-x+3/4,y+1/2,-z+1/4'
'x+3/4,-y+1/2,z+1/4'
loop_
_atom_site_label
_atom_site_fract_x
_atom_site_fract_y
_atom_site_fract_z
Cs1 0.1250 0.1250 0.3062
Ce1 0.1250 0.1250 0.1250
Rh1 0.1250 0.1250 0.6250
S1 0.0941 0.2723 0.8341
```

Largest 12 diffraction maxima, low angle first, 2θ from 10° to 90°:
- 2θ 13.98, d 6.336, I 643, (0 0 4)
- 2θ 18.30, d 4.849, I 270, (1 1 3)
- 2θ 23.69, d 3.755, I 357, (0 4 0)
- 2θ 24.18, d 3.681, I 1000, (0 2 6)
- 2θ 24.87, d 3.581, I 382, (1 3 3)
- 2θ 28.64, d 3.117, I 412, (1 3 5)
- 2θ 30.19, d 2.961, I 571, (2 2 0)
- 2θ 35.03, d 2.562, I 372, (2 0 6)
- 2θ 37.47, d 2.400, I 322, (0 2 10)
- 2θ 41.95, d 2.154, I 224, (0 6 6)
- 2θ 42.73, d 2.116, I 468, (2 4 6)
- 2θ 45.91, d 1.977, I 293, (2 6 0)